The following is a computed X-ray diffraction stick pattern of CoP4H16N2O16. It was derived from a crystal structure in Alexandria, relaxed with PBE+U, using Cu Kα X-rays.
Kinematic intensities with the Lorentz-polarization factor, no thermal factor.

Principal peaks in the range 10 to 90 degrees two-theta, low angle first:
2θ (°)	I (rel.)
12.12	543
13.06	672
18.57	1000
24.36	493
25.35	661
27.86	454

Structural model:
Unit cell a=7.1750 b=7.4247 c=7.8128 alpha=98.87 beta=108.71 gamma=91.00
Space group P-1 (No. 2)
Unique sites:
Co  0.0000  0.0000  0.0000 x1
P  0.1660  0.2514  0.7434 x2
P  0.2433  0.7192  0.2596 x2
H  0.1220  0.2010  0.3481 x2
H  0.1235  0.3340  0.2051 x2
H  0.2400  0.4831  0.9806 x2
H  0.3241  0.9039  0.8274 x2
H  0.3461  0.6753  0.8131 x2
H  0.4220  0.7905  0.6738 x2
H  0.4371  0.2282  0.5766 x2
H  0.4499  0.1777  0.0978 x2
N  0.4110  0.7981  0.8044 x2
O  0.0651  0.2162  0.2179 x2
O  0.0695  0.7380  0.3510 x2
O  0.2018  0.1194  0.8806 x2
O  0.2289  0.5226  0.1611 x2
O  0.2376  0.8642  0.1426 x2
O  0.2395  0.2011  0.5826 x2
O  0.2518  0.4495  0.8471 x2
O  0.4254  0.7543  0.4418 x2